For LiIn3Au3, a DFT-relaxed cell (GGA-PBE, Alexandria) gives the simulated X-ray diffraction stick pattern in this record (CuKα).
Intensities are scaled so that the largest is 100.

The 8 most intense peaks (2θ = 10–80°), low angle first:
2θ 18.77, I 42
2θ 26.61, I 27
2θ 30.28, I 100
2θ 36.78, I 75
2θ 37.14, I 61
2θ 38.06, I 46
2θ 38.92, I 42
2θ 43.36, I 26

Structural model:
abc: 6.503 6.503 7.519
angles: 90.23 90.23 110.02
Fractional coordinates of all 14 atoms:
1 Li 0.197 0.197 0.498
2 Li 0.803 0.803 0.502
3 In 0.157 0.157 0.128
4 In 0.266 0.734 0.500
5 In 0.319 0.681 0.000
6 In 0.681 0.319 0.000
7 In 0.734 0.266 0.500
8 In 0.843 0.843 0.872
9 Au 0.035 0.323 0.782
10 Au 0.323 0.035 0.782
11 Au 0.492 0.492 0.299
12 Au 0.508 0.508 0.701
13 Au 0.677 0.965 0.218
14 Au 0.965 0.677 0.218